# CoP3O9
Computed X-ray diffraction stick pattern, copper Kα. Input: a structure optimized by DFT (GGA+U).
Lines closer than 0.1° are merged.

Top 12 peaks for 2θ = 15–90°, in order of falling intensity:
- 18.49°, d = 4.798 Å, intensity 100, (1 1 1)
- 23.39°, d = 3.803 Å, intensity 53, (1 2 1)
- 19.63°, d = 4.522 Å, intensity 52, (0 1 2)
- 24.16°, d = 3.684 Å, intensity 46, (1 1 2)
- 31.52°, d = 2.839 Å, intensity 30, (1 1 3)
- 29.90°, d = 2.989 Å, intensity 28, (1 3 1)
- 28.49°, d = 3.133 Å, intensity 26, (1 3 0)
- 32.71°, d = 2.738 Å, intensity 21, (2 2 0)
- 30.68°, d = 2.914 Å, intensity 20, (2 1 1)
- 40.56°, d = 2.224 Å, intensity 18, (1 4 2)
- 24.31°, d = 3.661 Å, intensity 16, (0 2 2)
- 57.63°, d = 1.599 Å, intensity 14, (3 3 3)

a = 6.352 Å, b = 10.806 Å, c = 9.958 Å
α = 90.00°, β = 90.00°, γ = 90.00°
Space group Pccn (No. 56)
Unique sites:
Co: 0.000 0.000 0.000 [4 per cell]
P: 0.139 0.132 0.289 [8 per cell]
P: 0.250 0.750 0.082 [4 per cell]
O: 0.092 0.690 0.185 [8 per cell]
O: 0.113 0.033 0.185 [8 per cell]
O: 0.150 0.652 0.495 [8 per cell]
O: 0.242 0.097 0.420 [8 per cell]
O: 0.250 0.250 0.220 [4 per cell]

=====

# CoP3O9
Computed X-ray diffraction stick pattern, copper Kα. Input: a structure optimized by DFT (GGA+U).
Lines closer than 0.1° are merged.

Top 12 peaks for 2θ = 15–90°, in order of falling intensity:
- 16.37°, d = 5.416 Å, intensity 100, (0 2 1)
- 22.14°, d = 4.016 Å, intensity 69, (1 0 2)
- 23.92°, d = 3.721 Å, intensity 66, (1 2 1)
- 32.74°, d = 2.736 Å, intensity 58, (1 0 4)
- 26.76°, d = 3.331 Å, intensity 43, (1 2 2)
- 33.08°, d = 2.708 Å, intensity 36, (0 4 2)
- 18.86°, d = 4.705 Å, intensity 32, (1 1 0)
- 23.37°, d = 3.806 Å, intensity 30, (1 1 2)
- 47.82°, d = 1.902 Å, intensity 28, (2 2 4)
- 58.00°, d = 1.590 Å, intensity 28, (2 2 6)
- 36.12°, d = 2.486 Å, intensity 23, (1 2 4)
- 28.42°, d = 3.140 Å, intensity 18, (1 3 0)

a = 5.120 Å, b = 11.927 Å, c = 12.945 Å
α = 90.00°, β = 90.00°, γ = 90.00°
Space group Pbcm (No. 57)
Unique sites:
Co: 0.000 0.000 0.000 [4 per cell]
P: 0.239 0.250 0.000 [4 per cell]
P: 0.496 0.583 0.132 [8 per cell]
O: 0.088 0.154 0.546 [8 per cell]
O: 0.208 0.561 0.118 [8 per cell]
O: 0.316 0.503 0.591 [8 per cell]
O: 0.438 0.206 0.087 [8 per cell]
O: 0.444 0.108 0.250 [4 per cell]

=====

# Co3P2O9
Computed X-ray diffraction stick pattern, copper Kα. Input: a structure optimized by DFT (GGA+U).
Lines closer than 0.1° are merged.

Top 12 peaks for 2θ = 15–90°, in order of falling intensity:
- 23.21°, d = 3.833 Å, intensity 100, (0 1 2)
- 26.93°, d = 3.310 Å, intensity 76, (3 1 0)
- 16.27°, d = 5.448 Å, intensity 62, (2 0 0)
- 23.65°, d = 3.762 Å, intensity 60, (2 1 -2)
- 33.28°, d = 2.692 Å, intensity 60, (1 2 2)
- 19.68°, d = 4.511 Å, intensity 49, (2 1 0)
- 19.20°, d = 4.622 Å, intensity 48, (2 1 -1)
- 20.89°, d = 4.252 Å, intensity 45, (2 0 -2)
- 27.84°, d = 3.204 Å, intensity 37, (3 1 -2)
- 46.76°, d = 1.943 Å, intensity 36, (1 1 4)
- 33.64°, d = 2.664 Å, intensity 34, (4 1 -2)
- 33.99°, d = 2.637 Å, intensity 32, (3 2 -2)

a = 11.717 Å, b = 8.044 Å, c = 9.378 Å
α = 90.00°, β = 111.59°, γ = 90.00°
Space group P2_1/c (No. 14)
Unique sites:
Co: 0.073 0.181 0.038 [4 per cell]
Co: 0.170 0.709 0.354 [4 per cell]
Co: 0.416 0.244 0.690 [4 per cell]
P: 0.005 0.009 0.697 [4 per cell]
P: 0.349 0.511 0.626 [4 per cell]
O: 0.030 0.670 0.146 [4 per cell]
O: 0.038 0.523 0.377 [4 per cell]
O: 0.100 0.130 0.680 [4 per cell]
O: 0.129 0.566 0.882 [4 per cell]
O: 0.242 0.082 0.149 [4 per cell]
O: 0.320 0.593 0.470 [4 per cell]
O: 0.364 0.230 0.472 [4 per cell]
O: 0.428 0.617 0.762 [4 per cell]
O: 0.451 0.234 0.410 [4 per cell]

=====

# Co2PO5
Computed X-ray diffraction stick pattern, copper Kα. Input: a structure optimized by DFT (GGA+U).
Lines closer than 0.1° are merged.

Top 12 peaks for 2θ = 15–90°, in order of falling intensity:
- 26.95°, d = 3.309 Å, intensity 100, (3 1 0)
- 56.54°, d = 1.628 Å, intensity 42, (2 2 2)
- 27.40°, d = 3.255 Å, intensity 31, (1 1 1)
- 27.05°, d = 3.296 Å, intensity 30, (4 0 -1)
- 17.85°, d = 4.970 Å, intensity 27, (1 1 0)
- 55.48°, d = 1.656 Å, intensity 26, (6 2 0)
- 43.25°, d = 2.092 Å, intensity 24, (2 2 1)
- 47.79°, d = 1.903 Å, intensity 23, (2 2 -2)
- 55.73°, d = 1.649 Å, intensity 21, (8 0 -2)
- 18.01°, d = 4.926 Å, intensity 19, (2 0 -1)
- 28.42°, d = 3.141 Å, intensity 19, (4 0 0)
- 37.94°, d = 2.372 Å, intensity 19, (0 2 1)

a = 13.648 Å, b = 5.412 Å, c = 5.355 Å
α = 90.00°, β = 113.01°, γ = 90.00°
Space group C2/m (No. 12)
Unique sites:
Co: 0.000 0.000 0.000 [2 per cell]
Co: 0.000 0.000 0.500 [2 per cell]
Co: 0.250 0.250 0.000 [4 per cell]
P: 0.129 0.500 0.380 [4 per cell]
O: 0.062 0.258 0.313 [8 per cell]
O: 0.112 0.000 0.862 [4 per cell]
O: 0.197 0.500 0.206 [4 per cell]
O: 0.197 0.500 0.688 [4 per cell]

=====

# Co2P5O15
Computed X-ray diffraction stick pattern, copper Kα. Input: a structure optimized by DFT (GGA+U).
Lines closer than 0.1° are merged.

Top 12 peaks for 2θ = 15–90°, in order of falling intensity:
- 25.65°, d = 3.473 Å, intensity 100, (1 0 2)
- 25.20°, d = 3.534 Å, intensity 64, (1 1 -3)
- 27.97°, d = 3.190 Å, intensity 58, (1 0 -4)
- 21.65°, d = 4.105 Å, intensity 57, (1 1 -2)
- 30.06°, d = 2.973 Å, intensity 37, (0 2 3)
- 30.15°, d = 2.964 Å, intensity 33, (1 2 1)
- 20.00°, d = 4.440 Å, intensity 29, (1 1 -1)
- 20.69°, d = 4.293 Å, intensity 29, (1 1 0)
- 33.73°, d = 2.657 Å, intensity 23, (1 2 2)
- 35.92°, d = 2.500 Å, intensity 19, (2 1 -1)
- 27.88°, d = 3.200 Å, intensity 16, (1 1 2)
- 43.28°, d = 2.090 Å, intensity 14, (0 3 4)

a = 5.284 Å, b = 8.262 Å, c = 13.504 Å
α = 90.00°, β = 108.00°, γ = 90.00°
Space group P2/c (No. 13)
Unique sites:
Co: 0.080 0.208 0.468 [4 per cell]
P: 0.000 0.425 0.250 [2 per cell]
P: 0.339 0.325 0.897 [4 per cell]
P: 0.490 0.003 0.357 [4 per cell]
O: 0.080 0.336 0.167 [4 per cell]
O: 0.134 0.299 0.951 [4 per cell]
O: 0.222 0.018 0.575 [4 per cell]
O: 0.245 0.454 0.804 [4 per cell]
O: 0.316 0.113 0.395 [4 per cell]
O: 0.344 0.167 0.825 [4 per cell]
O: 0.379 0.362 0.540 [4 per cell]
O: 0.500 0.074 0.250 [2 per cell]

=====

# Co2P2O7
Computed X-ray diffraction stick pattern, copper Kα. Input: a structure optimized by DFT (GGA+U).
Lines closer than 0.1° are merged.

Top 12 peaks for 2θ = 15–90°, in order of falling intensity:
- 29.31°, d = 3.047 Å, intensity 100, (1 -1 2)
- 30.45°, d = 2.936 Å, intensity 69, (1 1 -2)
- 29.05°, d = 3.073 Å, intensity 49, (0 1 2)
- 34.89°, d = 2.572 Å, intensity 26, (1 -2 0)
- 57.49°, d = 1.603 Å, intensity 20, (2 -1 4)
- 49.41°, d = 1.845 Å, intensity 17, (0 2 -4)
- 43.93°, d = 2.061 Å, intensity 17, (2 1 -2)
- 44.11°, d = 2.053 Å, intensity 16, (1 1 -4)
- 17.38°, d = 5.104 Å, intensity 16, (1 0 0)
- 20.11°, d = 4.416 Å, intensity 14, (0 0 2)
- 42.20°, d = 2.141 Å, intensity 12, (-1 2 2)
- 42.33°, d = 2.135 Å, intensity 12, (2 -1 2)

a = 5.339 Å, b = 5.355 Å, c = 9.074 Å
α = 98.08°, β = 98.19°, γ = 103.88°
Space group P1 (No. 1)
Unique sites:
Co: 0.000 0.000 0.000 [1 per cell]
Co: 0.001 0.996 0.499 [1 per cell]
Co: 0.375 0.624 0.001 [1 per cell]
Co: 0.377 0.620 0.501 [1 per cell]
P: 0.471 0.093 0.797 [1 per cell]
P: 0.471 0.094 0.297 [1 per cell]
P: 0.905 0.526 0.203 [1 per cell]
P: 0.905 0.527 0.703 [1 per cell]
O: 0.065 0.384 0.611 [1 per cell]
O: 0.065 0.688 0.856 [1 per cell]
O: 0.066 0.686 0.356 [1 per cell]
O: 0.067 0.383 0.111 [1 per cell]
O: 0.309 0.237 0.389 [1 per cell]
O: 0.310 0.932 0.644 [1 per cell]
O: 0.310 0.933 0.145 [1 per cell]
O: 0.312 0.236 0.890 [1 per cell]
O: 0.615 0.932 0.889 [1 per cell]
O: 0.615 0.934 0.390 [1 per cell]
O: 0.688 0.310 0.250 [1 per cell]
O: 0.688 0.310 0.750 [1 per cell]
O: 0.761 0.686 0.111 [1 per cell]
O: 0.761 0.688 0.611 [1 per cell]

=====

# CoP2O4
Computed X-ray diffraction stick pattern, copper Kα. Input: a structure optimized by DFT (GGA+U).
Lines closer than 0.1° are merged.

Top 12 peaks for 2θ = 15–90°, in order of falling intensity:
- 16.31°, d = 5.436 Å, intensity 100, (1 0 0)
- 24.28°, d = 3.666 Å, intensity 66, (1 1 1)
- 34.09°, d = 2.630 Å, intensity 42, (1 1 2)
- 27.12°, d = 3.288 Å, intensity 39, (0 2 1)
- 33.95°, d = 2.640 Å, intensity 34, (1 1 -2)
- 39.24°, d = 2.296 Å, intensity 32, (1 3 0)
- 32.96°, d = 2.718 Å, intensity 30, (2 0 0)
- 31.93°, d = 2.803 Å, intensity 20, (1 0 2)
- 31.78°, d = 2.816 Å, intensity 16, (1 0 -2)
- 44.80°, d = 2.023 Å, intensity 14, (2 1 -2)
- 66.38°, d = 1.408 Å, intensity 13, (2 4 -2)
- 45.03°, d = 2.013 Å, intensity 13, (2 1 2)

a = 5.436 Å, b = 7.598 Å, c = 6.564 Å
α = 90.00°, β = 90.30°, γ = 90.00°
Space group P2/c (No. 13)
Unique sites:
Co: 0.000 0.000 0.000 [2 per cell]
P: 0.000 0.372 0.250 [2 per cell]
P: 0.500 0.149 0.750 [2 per cell]
O: 0.003 0.260 0.055 [4 per cell]
O: 0.269 0.033 0.765 [4 per cell]

=====

# Co3P4O14
Computed X-ray diffraction stick pattern, copper Kα. Input: a structure optimized by DFT (GGA+U).
Lines closer than 0.1° are merged.

Top 12 peaks for 2θ = 15–90°, in order of falling intensity:
- 26.56°, d = 3.356 Å, intensity 100, (1 -1 1)
- 19.99°, d = 4.441 Å, intensity 48, (0 1 -1)
- 33.10°, d = 2.707 Å, intensity 37, (2 1 0)
- 32.08°, d = 2.790 Å, intensity 27, (1 2 2)
- 37.91°, d = 2.373 Å, intensity 19, (-1 2 1)
- 26.08°, d = 3.416 Å, intensity 14, (1 1 2)
- 34.45°, d = 2.603 Å, intensity 14, (1 2 -1)
- 18.77°, d = 4.729 Å, intensity 13, (1 1 0)
- 28.45°, d = 3.137 Å, intensity 12, (1 2 0)
- 36.19°, d = 2.482 Å, intensity 12, (-1 1 2)
- 47.11°, d = 1.929 Å, intensity 10, (2 3 0)
- 44.73°, d = 2.026 Å, intensity 9, (1 -2 2)

a = 5.712 Å, b = 6.877 Å, c = 7.512 Å
α = 76.52°, β = 73.82°, γ = 72.57°
Space group P-1 (No. 2)
Unique sites:
Co: 0.000 0.000 0.000 [1 per cell]
Co: 0.246 0.477 0.337 [2 per cell]
P: 0.206 0.710 0.673 [2 per cell]
P: 0.371 0.309 0.935 [2 per cell]
O: 0.064 0.636 0.558 [2 per cell]
O: 0.073 0.913 0.738 [2 per cell]
O: 0.213 0.538 0.861 [2 per cell]
O: 0.271 0.151 0.890 [2 per cell]
O: 0.342 0.306 0.142 [2 per cell]
O: 0.345 0.706 0.172 [2 per cell]
O: 0.480 0.687 0.555 [2 per cell]

=====

> Which formula does entry 4 have?

Co2PO5